1.
KSrPrMnO6: simulated PXRD pattern (Cu Kα (λ = 1.5418 Å)), based on the GGA+U geometry in the Materials Project.
Intensities are scaled so that the largest is 100.

Peak list (10 most intense, 10 to 90 degrees two-theta, by intensity)
two_theta, I/Imax
29.9, 100
53.0, 27
42.7, 23
62.1, 13
53.1, 13
42.9, 12
18.2, 11
85.9, 11
21.0, 10
35.2, 8

abc: 8.432 8.462 8.476
angles: 90.00 90.00 90.00
Atoms (fractional coordinates):
K 0.250 0.250 0.250
K 0.250 0.750 0.250
K 0.750 0.250 0.750
K 0.750 0.750 0.750
Sr 0.250 0.250 0.750
Sr 0.250 0.750 0.750
Sr 0.750 0.250 0.250
Sr 0.750 0.750 0.250
Pr 0.000 0.000 0.000
Pr 0.000 0.500 0.500
Pr 0.500 0.000 0.500
Pr 0.500 0.500 0.000
Mn 0.000 0.000 0.500
Mn 0.000 0.500 0.000
Mn 0.500 0.000 0.000
Mn 0.500 0.500 0.500
O 0.006 0.021 0.275
O 0.006 0.479 0.225
O 0.018 0.724 0.016
O 0.018 0.776 0.484
O 0.226 0.019 0.535
O 0.226 0.481 0.965
O 0.274 0.019 0.965
O 0.274 0.481 0.535
O 0.482 0.724 0.484
O 0.482 0.776 0.016
O 0.494 0.021 0.225
O 0.494 0.479 0.275
O 0.506 0.521 0.725
O 0.506 0.979 0.775
O 0.518 0.224 0.984
O 0.518 0.276 0.516
O 0.726 0.519 0.465
O 0.726 0.981 0.035
O 0.774 0.519 0.035
O 0.774 0.981 0.465
O 0.982 0.224 0.516
O 0.982 0.276 0.984
O 0.994 0.521 0.775
O 0.994 0.979 0.725

=====

2.
FeCO3: simulated PXRD pattern (Cu Kα (λ = 1.5418 Å)), based on the GGA+U geometry in the Materials Project.
Intensities are scaled so that the largest is 100.

Peak list (10 most intense, 10 to 90 degrees two-theta, by intensity)
two_theta, I/Imax
31.6, 100
24.4, 35
51.9, 21
52.1, 20
37.8, 14
45.6, 14
41.7, 11
50.1, 11
52.2, 10
60.6, 10

abc: 4.762 4.762 5.882
angles: 113.99 113.99 59.78
Atoms (fractional coordinates):
Fe 0.000 0.500 0.000
Fe 0.500 0.000 0.500
C 0.250 0.750 0.750
C 0.750 0.250 0.250
O 0.024 0.976 0.250
O 0.251 0.477 0.750
O 0.477 0.251 0.250
O 0.523 0.749 0.750
O 0.749 0.523 0.250
O 0.976 0.024 0.750

=====

3.
MgMn2O4: simulated PXRD pattern (Cu Kα (λ = 1.5418 Å)), based on the GGA+U geometry in the Materials Project.
Intensities are scaled so that the largest is 100.

Peak list (10 most intense, 10 to 90 degrees two-theta, by intensity)
two_theta, I/Imax
17.8, 100
35.4, 71
26.8, 70
36.0, 46
54.0, 44
40.3, 26
32.5, 22
56.1, 21
54.2, 20
32.6, 19

abc: 3.165 3.181 10.120
angles: 82.29 81.99 62.23
Atoms (fractional coordinates):
Mg 0.000 0.000 0.000
Mn 0.440 0.435 0.723
Mn 0.578 0.595 0.302
O 0.222 0.244 0.386
O 0.360 0.360 0.933
O 0.795 0.791 0.676
O 0.932 0.939 0.200

=====

4.
MgV8O8F8: simulated PXRD pattern (Cu Kα (λ = 1.5418 Å)), based on the GGA+U geometry in the Materials Project.
Intensities are scaled so that the largest is 100.

Peak list (10 most intense, 10 to 90 degrees two-theta, by intensity)
two_theta, I/Imax
25.8, 100
26.1, 99
34.1, 28
33.8, 27
34.6, 27
33.7, 25
50.6, 24
38.5, 23
59.0, 23
53.0, 22

abc: 4.910 5.659 10.688
angles: 84.79 89.84 89.17
Atoms (fractional coordinates):
Mg 0.000 0.000 0.000
V 0.015 0.137 0.591
V 0.474 0.901 0.833
V 0.481 0.118 0.104
V 0.504 0.350 0.381
V 0.512 0.627 0.615
V 0.963 0.564 0.147
V 0.978 0.417 0.855
V 0.998 0.859 0.349
O 0.145 0.877 0.163
O 0.180 0.149 0.431
O 0.302 0.907 0.674
O 0.303 0.168 0.916
O 0.684 0.346 0.550
O 0.691 0.621 0.787
O 0.775 0.564 0.300
O 0.838 0.325 0.029
F 0.162 0.699 0.926
F 0.186 0.421 0.682
F 0.306 0.641 0.443
F 0.308 0.389 0.200
F 0.664 0.823 0.021
F 0.666 0.076 0.286
F 0.802 0.847 0.534
F 0.824 0.105 0.791

=====

Question: Which formula does entry 4 have?
Answer: MgV8O8F8